Record 1
Theoretical powder XRD pattern
Compound: ScTa2Hg
Radiation: Cu Kα
Structure: a structure optimized by DFT (PBE)

Principal peaks in the range 2θ from 10° to 90°, sorted by position:
- 21.09°, I 17
- 35.42°, I 28
- 37.41°, I 100
- 38.90°, I 23
- 53.61°, I 17
- 64.90°, I 20

Structure:
```
8
Lattice="3.381 0.000 0.000 0.000 4.631 0.000 0.000 0.000 10.137" Properties=species:S:1:pos:R:3 pbc="T T T"
Sc 0.000 0.000 0.000
Sc 1.690 2.315 5.069
Ta 0.000 2.315 2.450
Ta 0.000 2.315 7.687
Ta 1.690 0.000 2.618
Ta 1.690 0.000 7.519
Hg 0.000 0.000 5.069
Hg 1.690 2.315 0.000
```

Record 2
Theoretical powder XRD pattern
Compound: Na3LiH6Au2
Radiation: Cu Kα
Structure: a structure optimized by DFT (PBE)

Principal peaks in the range 2θ from 10° to 90°, sorted by position:
- 18.60°, I 33
- 23.41°, I 100
- 32.50°, I 54
- 34.16°, I 27
- 40.44°, I 24
- 43.69°, I 36

Structure:
```
12
Lattice="5.510 0.000 0.000 -2.755 4.772 0.000 0.000 0.000 6.285" Properties=species:S:1:pos:R:3 pbc="T T T"
Na 0.000 0.000 0.000
Na 0.000 3.181 4.632
Na 2.755 1.591 1.653
Li 0.000 0.000 3.143
H 0.000 1.465 1.702
H -1.486 4.039 1.702
H 1.269 0.732 4.583
H 1.486 4.039 1.702
H 4.241 0.732 4.583
H 2.755 3.307 4.583
Au 0.000 3.181 1.637
Au 2.755 1.591 4.649
```

Record 3
Theoretical powder XRD pattern
Compound: La5Pm6Sc
Radiation: Cu Kα
Structure: a structure optimized by DFT (PBE)

Principal peaks in the range 2θ from 10° to 90°, sorted by position:
- 29.91°, I 100
- 34.56°, I 17
- 34.74°, I 33
- 49.81°, I 24
- 59.07°, I 14
- 59.31°, I 28

Structure:
```
12
Lattice="-2.596 5.166 7.747 2.596 -5.166 7.747 2.596 5.166 -7.747" Properties=species:S:1:pos:R:3 pbc="T T T"
La 0.000 0.000 0.000
La 2.596 0.000 2.583
La 0.000 0.000 5.227
La 0.000 0.000 10.266
La 0.000 5.166 5.163
Pm 2.596 -2.539 5.201
Pm 2.596 2.636 0.000
Pm 0.000 2.627 2.545
Pm 2.596 2.539 5.201
Pm 0.000 2.530 7.747
Pm 0.000 7.705 2.545
Sc 0.000 5.166 0.000
```

Record 4
Theoretical powder XRD pattern
Compound: CaDy4HoSe8
Radiation: Cu Kα
Structure: a structure optimized by DFT (PBE)

Principal peaks in the range 2θ from 10° to 90°, sorted by position:
- 12.83°, I 36
- 24.71°, I 84
- 29.92°, I 72
- 39.18°, I 48
- 42.82°, I 100
- 78.43°, I 31

Structure:
```
14
Lattice="4.225 2.439 6.894 -4.225 2.439 6.894 0.000 -4.879 6.894" Properties=species:S:1:pos:R:3 pbc="T T T"
Ca 0.000 0.000 0.000
Dy -2.148 -1.240 9.466
Dy 0.000 0.000 5.169
Dy 2.148 -1.240 9.466
Dy 0.000 2.480 9.466
Ho 0.000 0.000 12.975
Se 0.000 0.000 7.917
Se 0.000 -2.279 11.159
Se -1.974 1.140 11.159
Se -1.942 -1.121 14.713
Se 1.974 1.140 11.159
Se 1.942 -1.121 14.713
Se 0.000 2.243 14.713
Se 0.000 0.000 17.893
```

Record 5
Theoretical powder XRD pattern
Compound: La4Sn
Radiation: Cu Kα
Structure: a structure optimized by DFT (PBE)

Principal peaks in the range 2θ from 10° to 90°, sorted by position:
- 30.95°, I 100
- 33.08°, I 20
- 33.26°, I 23
- 47.62°, I 15
- 53.63°, I 14
- 58.00°, I 17

Structure:
```
10
Lattice="-2.693 3.500 8.549 2.693 -3.500 8.549 2.693 3.500 -8.549" Properties=species:S:1:pos:R:3 pbc="T T T"
La 0.000 0.000 0.000
La 2.693 1.750 -1.655
La 0.000 0.144 3.438
La 2.693 0.144 5.112
La 0.000 3.500 0.000
La 0.000 3.356 3.438
La 2.693 3.356 5.112
La 0.000 1.750 10.204
Sn 2.693 1.750 1.859
Sn 0.000 1.750 6.690
```

Record 6
Theoretical powder XRD pattern
Compound: Tl3In4Pb
Radiation: Cu Kα
Structure: a structure optimized by DFT (PBE)

Principal peaks in the range 2θ from 10° to 90°, sorted by position:
- 31.58°, I 83
- 31.91°, I 100
- 32.33°, I 46
- 39.25°, I 44
- 56.63°, I 26
- 65.95°, I 25

Structure:
```
16
Lattice="3.282 0.000 0.000 0.000 6.505 0.000 0.000 0.000 22.155" Properties=species:S:1:pos:R:3 pbc="T T T"
Tl 0.000 0.000 0.000
Tl 0.000 3.252 5.322
Tl 0.000 3.252 16.833
Tl 1.641 0.000 5.756
Tl 1.641 0.000 16.400
Tl 1.641 3.252 11.078
In 0.000 1.664 8.279
In 0.000 1.664 13.876
In 0.000 4.841 8.279
In 0.000 4.841 13.876
In 1.641 1.588 2.799
In 1.641 1.588 19.357
In 1.641 4.917 2.799
In 1.641 4.917 19.357
Pb 0.000 0.000 11.078
Pb 1.641 3.252 0.000
```

Record 7
Theoretical powder XRD pattern
Compound: Sm3ZnCo2
Radiation: Cu Kα
Structure: a structure optimized by DFT (PBE)

Principal peaks in the range 2θ from 10° to 90°, sorted by position:
- 27.44°, I 85
- 27.63°, I 64
- 33.81°, I 42
- 37.58°, I 100
- 37.77°, I 49
- 41.03°, I 87

Structure:
```
12
Lattice="4.914 0.000 0.000 0.000 8.723 0.000 -0.821 0.000 6.456" Properties=species:S:1:pos:R:3 pbc="T T T"
Sm 0.116 2.181 1.606
Sm 1.438 0.336 4.790
Sm 1.438 4.026 4.790
Sm 2.654 4.698 1.666
Sm 2.654 8.387 1.666
Sm 3.976 6.543 4.850
Zn 0.226 6.543 1.365
Zn 3.866 2.181 5.091
Co 0.000 0.000 0.000
Co 0.000 4.362 0.000
Co 1.570 6.543 3.402
Co 2.523 2.181 3.054
```

Record 8
Theoretical powder XRD pattern
Compound: Re9Mo3Se16
Radiation: Cu Kα
Structure: a structure optimized by DFT (PBE)

Principal peaks in the range 2θ from 10° to 90°, sorted by position:
- 13.17°, I 100
- 32.22°, I 13
- 38.99°, I 17
- 42.52°, I 14
- 44.35°, I 17
- 44.49°, I 23

Structure:
```
28
Lattice="6.749 0.000 0.000 -0.395 6.738 0.000 -0.745 -0.902 13.447" Properties=species:S:1:pos:R:3 pbc="T T T"
Re 0.000 0.000 0.000
Re -0.371 -0.432 6.728
Re 0.549 4.566 1.196
Re 0.188 4.130 7.915
Re 0.600 5.868 3.535
Re 0.243 5.431 10.262
Re 2.259 0.158 1.442
Re 5.085 5.712 2.099
Re 4.725 5.276 8.823
Mo 0.050 1.313 2.353
Mo -0.307 0.874 9.088
Mo 1.903 -0.269 8.169
Se 0.939 1.762 6.912
Se 1.319 2.187 0.189
Se 1.464 5.159 5.954
Se 1.110 4.694 12.695
Se 2.236 1.329 3.683
Se 1.858 0.895 10.445
Se 2.302 4.212 9.366
Se 2.673 4.676 2.629
Se 4.663 1.163 0.909
Se 4.322 0.724 7.654
Se 4.402 3.612 13.313
Se 4.780 4.080 6.592
Se 5.502 0.260 4.307
Se 5.134 -0.190 11.038
Se 6.040 3.699 3.328
Se 5.684 3.265 10.048
```

Which formula does entry 1 have? ScTa2Hg

Repeat the second record exactly.
Theoretical powder XRD pattern
Compound: Na3LiH6Au2
Radiation: Cu Kα
Structure: a structure optimized by DFT (PBE)

Principal peaks in the range 2θ from 10° to 90°, sorted by position:
- 18.60°, I 33
- 23.41°, I 100
- 32.50°, I 54
- 34.16°, I 27
- 40.44°, I 24
- 43.69°, I 36

Structure:
```
12
Lattice="5.510 0.000 0.000 -2.755 4.772 0.000 0.000 0.000 6.285" Properties=species:S:1:pos:R:3 pbc="T T T"
Na 0.000 0.000 0.000
Na 0.000 3.181 4.632
Na 2.755 1.591 1.653
Li 0.000 0.000 3.143
H 0.000 1.465 1.702
H -1.486 4.039 1.702
H 1.269 0.732 4.583
H 1.486 4.039 1.702
H 4.241 0.732 4.583
H 2.755 3.307 4.583
Au 0.000 3.181 1.637
Au 2.755 1.591 4.649
```